Diffraction record for CsCoPt3. The XRD peak list is theoretical, not measured: it uses a structure optimized by DFT (PBE) and λ = 1.5418 Å (Cu Kα).
Neutral-atom scattering factors, no anomalous dispersion.

Principal peaks in the range 10 to 80 degrees two-theta, by angle:
2theta	I/Imax
17.1	64
29.9	86
34.7	100
38.9	33
49.8	72
53.1	17
59.2	38
62.1	25

Structure:
a b c (Å): 5.1747 5.1747 5.1747
angles (deg): 90.00 90.00 90.00
Fractional positions:
Cs: 0.0000 0.0000 0.0000
Co: 0.5000 0.5000 0.5000
Pt: 0.0000 0.0000 0.5000
Pt: 0.0000 0.5000 0.0000
Pt: 0.5000 0.0000 0.0000


Diffraction record for Na3TlCd4F12. The XRD peak list is theoretical, not measured: it uses a structure optimized by DFT (PBE) and λ = 1.5418 Å (Cu Kα).
Neutral-atom scattering factors, no anomalous dispersion.

Principal peaks in the range 10 to 80 degrees two-theta, by angle:
2theta	I/Imax
14.6	33
25.5	16
29.5	100
33.1	17
39.4	20
42.2	29
52.3	53
69.4	18

Structure:
a b c (Å): 7.4156 7.4156 7.4156
angles (deg): 109.47 109.47 109.47
Fractional positions:
Na: 0.0000 0.5000 0.5000
Na: 0.5000 0.0000 0.5000
Na: 0.5000 0.5000 0.0000
Tl: 0.0000 0.0000 0.0000
Cd: 0.0000 0.0000 0.5000
Cd: 0.0000 0.5000 0.0000
Cd: 0.5000 0.0000 0.0000
Cd: 0.5000 0.5000 0.5000
F: 0.1224 0.3065 0.8159
F: 0.1841 0.4907 0.3065
F: 0.1841 0.8776 0.6935
F: 0.3065 0.1841 0.4907
F: 0.3065 0.8159 0.1224
F: 0.4907 0.3065 0.1841
F: 0.5093 0.6935 0.8159
F: 0.6935 0.1841 0.8776
F: 0.6935 0.8159 0.5093
F: 0.8159 0.1224 0.3065
F: 0.8159 0.5093 0.6935
F: 0.8776 0.6935 0.1841


Diffraction record for Pm4Sb2C. The XRD peak list is theoretical, not measured: it uses a structure optimized by DFT (PBE) and λ = 1.5418 Å (Cu Kα).
Neutral-atom scattering factors, no anomalous dispersion.

Principal peaks in the range 10 to 80 degrees two-theta, by angle:
2theta	I/Imax
27.8	63
28.0	61
29.8	75
30.9	33
31.1	32
34.2	100
40.3	32
41.7	26

Structure:
a b c (Å): 7.2310 6.6679 8.9494
angles (deg): 90.00 108.38 90.00
Fractional positions:
Pm: 0.0097 0.0028 0.2385
Pm: 0.0097 0.4972 0.2385
Pm: 0.4097 0.7500 0.5755
Pm: 0.4239 0.7500 0.1325
Pm: 0.5761 0.2500 0.8675
Pm: 0.5903 0.2500 0.4245
Pm: 0.9903 0.5028 0.7615
Pm: 0.9903 0.9972 0.7615
Sb: 0.2260 0.2500 0.5569
Sb: 0.2711 0.2500 0.0652
Sb: 0.7289 0.7500 0.9348
Sb: 0.7740 0.7500 0.4431
C: 0.2347 0.7500 0.3063
C: 0.7653 0.2500 0.6937


Diffraction record for SmEr3Sb3. The XRD peak list is theoretical, not measured: it uses a structure optimized by DFT (PBE) and λ = 1.5418 Å (Cu Kα).
Neutral-atom scattering factors, no anomalous dispersion.

Principal peaks in the range 10 to 80 degrees two-theta, by angle:
2theta	I/Imax
30.8	100
36.6	69
48.5	19
50.7	24
62.3	25
64.1	12
65.9	15
76.1	14

Structure:
a b c (Å): 9.1884 9.1884 9.1884
angles (deg): 90.00 90.00 90.00
Fractional positions:
Sm: 0.0702 0.4298 0.5702
Sm: 0.4298 0.5702 0.0702
Sm: 0.5702 0.0702 0.4298
Sm: 0.9298 0.9298 0.9298
Er: 0.0763 0.5763 0.9237
Er: 0.1778 0.8222 0.3222
Er: 0.1795 0.1795 0.1795
Er: 0.3205 0.8205 0.6795
Er: 0.3222 0.1778 0.8222
Er: 0.4237 0.4237 0.4237
Er: 0.5763 0.9237 0.0763
Er: 0.6778 0.6778 0.6778
Er: 0.6795 0.3205 0.8205
Er: 0.8205 0.6795 0.3205
Er: 0.8222 0.3222 0.1778
Er: 0.9237 0.0763 0.5763
Sb: 0.0016 0.2558 0.8778
Sb: 0.1222 0.5016 0.2442
Sb: 0.2442 0.1222 0.5016
Sb: 0.2558 0.8778 0.0016
Sb: 0.3778 0.4984 0.7442
Sb: 0.4984 0.7442 0.3778
Sb: 0.5016 0.2442 0.1222
Sb: 0.6222 0.9984 0.7558
Sb: 0.7442 0.3778 0.4984
Sb: 0.7558 0.6222 0.9984
Sb: 0.8778 0.0016 0.2558
Sb: 0.9984 0.7558 0.6222


Diffraction record for BaNa2Pd9. The XRD peak list is theoretical, not measured: it uses a structure optimized by DFT (PBE) and λ = 1.5418 Å (Cu Kα).
Neutral-atom scattering factors, no anomalous dispersion.

Principal peaks in the range 10 to 80 degrees two-theta, by angle:
2theta	I/Imax
16.6	36
21.5	24
32.1	20
35.0	52
39.0	52
40.3	100
43.9	29
74.9	22

Structure:
a b c (Å): 9.2286 9.2286 5.3422
angles (deg): 90.00 90.00 90.00
Fractional positions:
Ba: 0.0000 0.0000 0.0000
Ba: 0.5000 0.5000 0.0000
Na: 0.1152 0.3848 0.0000
Na: 0.3848 0.8848 0.0000
Na: 0.6152 0.1152 0.0000
Na: 0.8848 0.6152 0.0000
Pd: 0.0000 0.5000 0.5000
Pd: 0.0605 0.2101 0.5000
Pd: 0.1811 0.6811 0.2472
Pd: 0.1811 0.6811 0.7528
Pd: 0.2101 0.9395 0.5000
Pd: 0.2899 0.4395 0.5000
Pd: 0.3189 0.1811 0.2472
Pd: 0.3189 0.1811 0.7528
Pd: 0.4395 0.7101 0.5000
Pd: 0.5000 0.0000 0.5000
Pd: 0.5605 0.2899 0.5000
Pd: 0.6811 0.8189 0.2472
Pd: 0.6811 0.8189 0.7528
Pd: 0.7101 0.5605 0.5000
Pd: 0.7899 0.0605 0.5000
Pd: 0.8189 0.3189 0.2472
Pd: 0.8189 0.3189 0.7528
Pd: 0.9395 0.7899 0.5000


Diffraction record for Ta2Cr4Si5. The XRD peak list is theoretical, not measured: it uses a structure optimized by DFT (PBE) and λ = 1.5418 Å (Cu Kα).
Neutral-atom scattering factors, no anomalous dispersion.

Principal peaks in the range 10 to 80 degrees two-theta, by angle:
2theta	I/Imax
10.9	81
20.2	74
26.3	44
29.9	40
40.0	48
40.7	100
42.8	48
46.7	33

Structure:
a b c (Å): 9.3199 9.3199 9.3199
angles (deg): 132.97 58.00 148.03
Fractional positions:
Ta: 0.0601 0.2500 0.8101
Ta: 0.4399 0.2500 0.1899
Ta: 0.5601 0.7500 0.8101
Ta: 0.9399 0.7500 0.1899
Cr: 0.0608 0.2495 0.3103
Cr: 0.1450 0.6240 0.7690
Cr: 0.3550 0.1240 0.4789
Cr: 0.4392 0.7495 0.1888
Cr: 0.5608 0.2505 0.8112
Cr: 0.6450 0.8760 0.5211
Cr: 0.8550 0.3760 0.2310
Cr: 0.9392 0.7505 0.6897
Si: 0.0598 0.9090 0.9689
Si: 0.2029 0.3093 0.5122
Si: 0.2500 0.7500 0.5000
Si: 0.2971 0.8093 0.1064
Si: 0.4402 0.4090 0.8492
Si: 0.5598 0.5910 0.1508
Si: 0.7029 0.1907 0.8936
Si: 0.7500 0.2500 0.5000
Si: 0.7971 0.6907 0.4878
Si: 0.9402 0.0910 0.0311


Diffraction record for BeOs. The XRD peak list is theoretical, not measured: it uses a structure optimized by DFT (PBE) and λ = 1.5418 Å (Cu Kα).
Neutral-atom scattering factors, no anomalous dispersion.

Principal peaks in the range 10 to 80 degrees two-theta, by angle:
2theta	I/Imax
21.1	37
29.6	37
32.9	52
34.7	47
38.0	21
43.3	22
45.2	100
66.7	22

Structure:
a b c (Å): 8.6411 2.8730 5.6415
angles (deg): 90.00 103.22 90.00
Fractional positions:
Be: 0.0000 0.0000 0.0000
Be: 0.0729 0.0000 0.5994
Be: 0.2091 0.5000 0.3817
Be: 0.5000 0.5000 0.0000
Be: 0.5729 0.5000 0.5994
Be: 0.7091 0.0000 0.3817
Os: 0.1993 0.5000 0.9582
Os: 0.3647 0.0000 0.6972
Os: 0.4199 0.0000 0.2640
Os: 0.6993 0.0000 0.9582
Os: 0.8647 0.5000 0.6972
Os: 0.9199 0.5000 0.2640